# 1
Computed powder diffractogram
Compound: Y2MoSe3O12
Radiation: Cu Kα, 1.54184 Å
Structure: a crystal structure in the Materials Project, relaxed with GGA+U

Peak list (10 most intense, 10 to 90 degrees two-theta, by angle)
hkl 0 0 3, 2θ 25.64, I 94
hkl 1 2 1, 2θ 27.71, I 46
hkl 2 0 0, 2θ 28.26, I 66
hkl 1 -2 1, 2θ 29.79, I 100
hkl 2 0 3, 2θ 32.39, I 30
hkl -1 2 2, 2θ 35.05, I 22
hkl 1 2 -2, 2θ 36.23, I 21
hkl 2 0 -3, 2θ 43.92, I 35
hkl 0 4 0, 2θ 51.14, I 20
hkl -3 2 2, 2θ 57.91, I 18

Structure:
a = 6.6032 Å, b = 7.1820 Å, c = 10.9268 Å
α = 84.81°, β = 73.11°, γ = 86.54°
Positions (direct):
Y 0.2034 0.1832 0.1683
Y 0.2674 0.3617 0.4906
Y 0.7326 0.6383 0.5094
Y 0.7966 0.8168 0.8317
Mo 0.2775 0.1070 0.7936
Mo 0.7225 0.8930 0.2064
Se 0.2022 0.6605 0.2165
Se 0.2122 0.8601 0.5067
Se 0.3419 0.6375 0.8579
Se 0.6581 0.3625 0.1421
Se 0.7878 0.1399 0.4933
Se 0.7978 0.3395 0.7835
O 0.0418 0.1918 0.3924
O 0.0586 0.8736 0.1960
O 0.0816 0.6004 0.3824
O 0.0995 0.4992 0.1487
O 0.1754 0.8293 0.8216
O 0.2147 0.1670 0.9549
O 0.2812 0.0400 0.5833
O 0.3080 0.3265 0.7003
O 0.3599 0.6619 0.5401
O 0.4252 0.3453 0.2703
O 0.4501 0.7286 0.9618
O 0.4517 0.9748 0.2329
O 0.5483 0.0252 0.7671
O 0.5499 0.2714 0.0382
O 0.5748 0.6547 0.7297
O 0.6401 0.3381 0.4599
O 0.6920 0.6735 0.2997
O 0.7188 0.9600 0.4167
O 0.7853 0.8330 0.0451
O 0.8246 0.1707 0.1784
O 0.9005 0.5008 0.8513
O 0.9184 0.3996 0.6176
O 0.9414 0.1264 0.8040
O 0.9582 0.8082 0.6076

# 2
Computed powder diffractogram
Compound: Li2V3TeO8
Radiation: Cu Kα, 1.54184 Å
Structure: a crystal structure in the Materials Project, relaxed with GGA+U

Peak list (10 most intense, 10 to 90 degrees two-theta, by angle)
hkl 1 -1 1, 2θ 17.87, I 100
hkl -1 1 1, 2θ 20.46, I 11
hkl -1 2 1, 2θ 33.61, I 20
hkl 2 -2 0, 2θ 34.34, I 29
hkl 2 -2 2, 2θ 36.19, I 11
hkl -2 2 2, 2θ 41.58, I 33
hkl 2 0 2, 2θ 41.69, I 16
hkl 3 -2 1, 2θ 46.18, I 10
hkl 0 2 4, 2θ 59.35, I 16
hkl 2 0 -6, 2θ 61.23, I 10

Structure:
a = 6.0511 Å, b = 6.2360 Å, c = 10.4811 Å
α = 106.25°, β = 90.18°, γ = 119.02°
Positions (direct):
Li 0.0566 0.1130 0.1843
Li 0.4428 0.8874 0.3139
Li 0.5572 0.1126 0.6861
Li 0.9434 0.8870 0.8157
V 0.0000 0.5000 0.0000
V 0.0000 0.5000 0.5000
V 0.2497 0.4993 0.7494
V 0.5000 0.5000 0.0000
V 0.5000 0.5000 0.5000
V 0.7503 0.5007 0.2506
Te 0.0000 0.0000 0.5000
Te 0.5000 0.0000 0.0000
O 0.0986 0.7345 0.3796
O 0.1392 0.7370 0.8780
O 0.1428 0.2635 0.3902
O 0.1497 0.2995 0.8824
O 0.3508 0.7019 0.6167
O 0.3594 0.2658 0.6237
O 0.3601 0.7362 0.1087
O 0.3972 0.2650 0.1150
O 0.6028 0.7350 0.8850
O 0.6399 0.2638 0.8913
O 0.6406 0.7342 0.3763
O 0.6492 0.2981 0.3833
O 0.8503 0.7005 0.1176
O 0.8572 0.7365 0.6098
O 0.8608 0.2630 0.1220
O 0.9014 0.2655 0.6204